Structure and computed PXRD pattern of MnGaPO2 (a cell relaxed with PBE+U; Cu Kα X-rays).
Peak positions follow from Bragg's law for the DFT cell and can differ from measured ones.

Largest 10 diffraction maxima, sorted by position, 10° ≤ 2θ ≤ 80°:
index  d/Å  Position (°2θ)  intensity
1 0 1  2.996  29.8  100
1 1 0  2.613  34.3  57
0 0 2  2.557  35.1  62
1 1 1  2.327  38.7  33
2 0 0  1.848  49.3  43
1 1 2  1.828  49.9  39
2 1 1  1.573  58.7  28
1 0 3  1.548  59.7  13
2 0 2  1.498  62.0  41
2 2 0  1.307  72.3  12

a b c (Å): 3.6958 3.6958 5.1150
angles (deg): 90.00 90.00 90.00
Element x y z (fractional)
Mn: 0.0000 0.0000 0.0000
Ga: 0.5000 0.5000 0.5000
P: 0.0000 0.0000 0.5000
O: 0.0000 0.5000 0.0000
O: 0.5000 0.0000 0.0000